No. 1
The following is a theoretical powder XRD pattern of TbAl2Cu10. It was derived from DFT lattice parameters and positions (GGA-PBE), using CuKα.

Main lines, sorted by position (5 to 70 degrees two-theta):
2θ (°), d (Å), I (rel.)
14.44, 6.133, 28.1
29.28, 3.050, 24.4
29.80, 2.998, 23.7
36.19, 2.482, 49.3
36.43, 2.466, 93.0
41.77, 2.163, 96.3
42.13, 2.145, 100.0
42.41, 2.131, 86.3
42.91, 2.108, 93.7
47.08, 1.930, 32.1

Atomic structure:
```
TbAl2Cu10
1.0
0.000 5.927 6.133
2.482 0.000 6.133
2.482 5.927 0.000
Tb Al Cu
1 2 10
Cartesian
0.000 0.000 0.000
1.241 0.000 3.067
1.241 5.927 3.067
1.241 2.964 0.000
2.482 2.111 3.990
2.482 4.615 4.790
2.482 2.111 8.276
2.482 4.615 7.477
1.241 2.964 6.133
2.482 7.240 4.790
2.482 9.743 3.990
2.482 7.240 7.477
2.482 9.743 8.276
```

=====

No. 2
The following is a theoretical powder XRD pattern of Ba4CdAg2. It was derived from DFT lattice parameters and positions (GGA-PBE), using CuKα.

Main lines, sorted by position (5 to 70 degrees two-theta):
2θ (°), d (Å), I (rel.)
9.30, 9.510, 8.3
21.37, 4.157, 10.8
30.25, 2.954, 100.0
30.56, 2.926, 97.4
43.54, 2.079, 36.2
53.75, 1.706, 19.2
53.93, 1.700, 38.0
54.50, 1.684, 18.4
62.92, 1.477, 11.9
63.61, 1.463, 11.5

Atomic structure:
```
Ba4CdAg2
1.0
2.954 1.706 9.510
-2.954 1.706 9.510
0.000 -3.411 9.510
Ba Cd Ag
4 1 2
Cartesian
0.000 0.000 3.566
0.000 0.000 10.708
0.000 0.000 17.821
0.000 0.000 24.963
0.000 0.000 0.000
0.000 0.000 7.114
0.000 0.000 21.415
```

=====

No. 3
The following is a theoretical powder XRD pattern of InHIr. It was derived from DFT lattice parameters and positions (GGA-PBE), using CuKα.

Main lines, sorted by position (5 to 70 degrees two-theta):
2θ (°), d (Å), I (rel.)
22.81, 3.898, 20.1
23.78, 3.741, 48.4
25.80, 3.454, 31.3
32.11, 2.787, 33.7
36.70, 2.449, 22.4
40.38, 2.234, 100.0
41.66, 2.168, 45.0
42.69, 2.118, 26.6
44.29, 2.045, 53.8
67.51, 1.387, 19.6

Atomic structure:
```
InHIr
1.0
2.785 -4.450 0.000
2.785 4.450 0.000
0.000 0.000 6.908
In H Ir
4 4 4
Cartesian
2.785 3.013 6.249
2.785 1.437 2.795
2.785 -1.437 4.112
2.785 -3.013 0.658
2.785 4.090 2.665
2.785 0.360 6.118
2.785 -0.360 0.789
2.785 -4.090 4.243
1.392 0.840 5.181
1.392 -0.840 1.727
4.177 0.840 5.181
4.177 -0.840 1.727
```